# 1
This entry pairs a crystal structure of CeBiW2O9 with its calculated PXRD pattern. Radiation: copper Kα. Structure: DFT lattice parameters and positions (GGA+U).

Top 8 peaks for 15 to 90 degrees two-theta, low angle first:
2theta	I (rel.)
26.33	100
26.83	15
27.21	35
29.35	37
30.09	25
37.69	14
45.50	16
52.80	16

Cell and atoms:
Cell: 7.225 7.225 13.896 Å, 99.21 99.21 87.87°
Sites, in units of the cell vectors:
Ce 0.125 0.172 0.117
Ce 0.172 0.125 0.617
Ce 0.828 0.875 0.383
Ce 0.875 0.828 0.883
Bi 0.345 0.526 0.862
Bi 0.474 0.655 0.638
Bi 0.526 0.345 0.362
Bi 0.655 0.474 0.138
W 0.004 0.587 0.618
W 0.166 0.692 0.135
W 0.308 0.834 0.365
W 0.413 0.996 0.882
W 0.587 0.004 0.118
W 0.692 0.166 0.635
W 0.834 0.308 0.865
W 0.996 0.413 0.382
O 0.005 0.492 0.859
O 0.009 0.833 0.051
O 0.087 0.650 0.370
O 0.113 0.887 0.250
O 0.139 0.283 0.297
O 0.146 0.395 0.504
O 0.167 0.991 0.449
O 0.181 0.783 0.617
O 0.217 0.819 0.883
O 0.245 0.484 0.694
O 0.283 0.139 0.797
O 0.308 0.542 0.052
O 0.350 0.913 0.130
O 0.362 0.638 0.250
O 0.395 0.146 0.004
O 0.458 0.692 0.448
O 0.484 0.245 0.194
O 0.492 0.005 0.359
O 0.508 0.995 0.641
O 0.516 0.755 0.806
O 0.542 0.308 0.552
O 0.605 0.854 0.996
O 0.638 0.362 0.750
O 0.650 0.087 0.870
O 0.692 0.458 0.948
O 0.717 0.861 0.203
O 0.755 0.516 0.306
O 0.783 0.181 0.117
O 0.819 0.217 0.383
O 0.833 0.009 0.551
O 0.854 0.605 0.496
O 0.861 0.717 0.703
O 0.887 0.113 0.750
O 0.913 0.350 0.630
O 0.991 0.167 0.949
O 0.995 0.508 0.141

***

# 2
This entry pairs a crystal structure of Li3MnP2O8 with its calculated PXRD pattern. Radiation: copper Kα. Structure: DFT lattice parameters and positions (GGA+U).

Top 8 peaks for 15 to 90 degrees two-theta, low angle first:
2theta	I (rel.)
24.45	100
25.14	71
33.44	32
34.88	35
35.21	19
35.31	18
35.83	48
62.91	17

Cell and atoms:
Cell: 5.025 5.031 6.201 Å, 89.08 88.89 64.40°
Sites, in units of the cell vectors:
Li 0.000 0.000 0.000
Li 0.331 0.331 0.230
Li 0.669 0.669 0.770
Mn 0.000 0.000 0.500
P 0.353 0.354 0.732
P 0.647 0.646 0.268
O 0.235 0.704 0.730
O 0.253 0.253 0.531
O 0.256 0.255 0.939
O 0.295 0.765 0.270
O 0.705 0.235 0.730
O 0.744 0.745 0.061
O 0.747 0.747 0.469
O 0.765 0.296 0.270

***

# 3
This entry pairs a crystal structure of NaV2S4O4 with its calculated PXRD pattern. Radiation: copper Kα. Structure: DFT lattice parameters and positions (GGA+U).

Top 8 peaks for 15 to 90 degrees two-theta, low angle first:
2theta	I (rel.)
15.86	64
31.14	100
32.03	65
35.97	63
42.34	46
48.06	30
49.94	26
53.20	44

Cell and atoms:
Cell: 5.826 3.786 10.465 Å, 90.00 105.84 90.00°
Sites, in units of the cell vectors:
Na 0.000 0.000 0.000
V 0.000 0.500 0.500
V 0.500 0.000 0.500
S 0.229 0.000 0.631
S 0.291 0.500 0.375
S 0.709 0.500 0.625
S 0.771 0.000 0.369
O 0.210 0.500 0.218
O 0.240 0.000 0.200
O 0.760 0.000 0.800
O 0.790 0.500 0.782